# 1
LiPr2AlPt6: simulated PXRD pattern (λ = 1.5418 Å (Cu Kα)), based on a DFT-relaxed cell (GGA-PBE, Alexandria).
Kinematic intensities with the Lorentz-polarization factor, no thermal factor.

Crystal structure
abc: 9.8088 5.6567 8.1687
angles: 90.00 113.67 90.00
Space group C2/m (No. 12)
Unique sites:
Li 0.0000 0.0000 0.0000 [2 per cell]
Pr 0.2055 0.5000 0.1162 [4 per cell]
Al 0.0000 0.5000 0.5000 [2 per cell]
Pt 0.0056 0.2423 0.2588 [8 per cell]
Pt 0.2479 0.0000 0.2586 [4 per cell]

Most intense lines, 15 to 90 degrees two-theta, sorted by position:
hkl 0 0 2, 23.8 deg, intensity 68
hkl 2 0 1, 26.9 deg, intensity 20
hkl 1 1 -3, 36.9 deg, intensity 16
hkl 2 2 0, 37.6 deg, intensity 100
hkl 3 1 -3, 39.9 deg, intensity 18
hkl 4 0 0, 40.2 deg, intensity 77
hkl 1 1 3, 44.4 deg, intensity 16
hkl 2 2 2, 49.4 deg, intensity 27
hkl 4 0 2, 55.5 deg, intensity 12
hkl 0 4 0, 66.0 deg, intensity 22
hkl 6 2 0, 71.3 deg, intensity 20
hkl 8 0 -2, 78.5 deg, intensity 17

=====

# 2
Mn5Tc: simulated PXRD pattern (λ = 1.5418 Å (Cu Kα)), based on a DFT-relaxed cell (GGA-PBE, Alexandria).
Kinematic intensities with the Lorentz-polarization factor, no thermal factor.

Crystal structure
abc: 6.5629 6.5629 6.5629
angles: 90.00 90.00 90.00
Space group F-43m (No. 216)
Unique sites:
Mn 0.0000 0.0000 0.0000 [4 per cell]
Mn 0.1264 0.1264 0.6264 [16 per cell]
Tc 0.2500 0.2500 0.2500 [4 per cell]

Most intense lines, 15 to 90 degrees two-theta, sorted by position:
hkl 1 1 1, 23.5 deg, intensity 3
hkl 2 0 0, 27.2 deg, intensity 5
hkl 2 2 0, 38.8 deg, intensity 40
hkl 3 1 1, 45.9 deg, intensity 100
hkl 2 2 2, 48.0 deg, intensity 29
hkl 4 0 0, 56.1 deg, intensity 1
hkl 3 3 1, 61.6 deg, intensity 1
hkl 4 2 0, 63.4 deg, intensity 1
hkl 4 2 2, 70.3 deg, intensity 13
hkl 5 1 1, 75.2 deg, intensity 28
hkl 4 4 0, 83.3 deg, intensity 22
hkl 4 4 2, 89.6 deg, intensity 1

=====

# 3
La3AlGe2: simulated PXRD pattern (λ = 1.5418 Å (Cu Kα)), based on a DFT-relaxed cell (GGA-PBE, Alexandria).
Kinematic intensities with the Lorentz-polarization factor, no thermal factor.

Crystal structure
abc: 12.3448 4.3301 12.3502
angles: 90.00 90.00 90.00
Space group Pnma (No. 62)
Unique sites:
La 0.0627 0.2500 0.1150 [4 per cell]
La 0.1206 0.7500 0.5604 [4 per cell]
La 0.1973 0.2500 0.7908 [4 per cell]
Al 0.1340 0.2500 0.3665 [4 per cell]
Ge 0.0316 0.7500 0.3124 [4 per cell]
Ge 0.1925 0.7500 0.9847 [4 per cell]

Most intense lines, 15 to 90 degrees two-theta, sorted by position:
hkl 3 0 2, 26.0 deg, intensity 34
hkl 2 1 1, 26.2 deg, intensity 27
hkl 2 1 2, 29.0 deg, intensity 49
hkl 4 0 1, 29.8 deg, intensity 72
hkl 0 1 3, 29.9 deg, intensity 100
hkl 3 1 1, 30.8 deg, intensity 76
hkl 2 0 4, 32.4 deg, intensity 31
hkl 3 1 2, 33.4 deg, intensity 46
hkl 4 1 2, 38.7 deg, intensity 44
hkl 0 2 0, 41.7 deg, intensity 43
hkl 3 0 5, 42.7 deg, intensity 27
hkl 4 2 1, 52.1 deg, intensity 30

=====

# 4
AcTmAlAu: simulated PXRD pattern (λ = 1.5418 Å (Cu Kα)), based on a DFT-relaxed cell (GGA-PBE, Alexandria).
Kinematic intensities with the Lorentz-polarization factor, no thermal factor.

Crystal structure
abc: 7.5725 7.5725 7.5725
angles: 90.00 90.00 90.00
Space group F-43m (No. 216)
Unique sites:
Ac 0.0000 0.0000 0.0000 [4 per cell]
Tm 0.0000 0.0000 0.5000 [4 per cell]
Al 0.2500 0.2500 0.7500 [4 per cell]
Au 0.2500 0.2500 0.2500 [4 per cell]

Most intense lines, 15 to 90 degrees two-theta, sorted by position:
hkl 1 1 1, 20.3 deg, intensity 19
hkl 2 0 0, 23.5 deg, intensity 9
hkl 2 2 0, 33.5 deg, intensity 100
hkl 3 1 1, 39.5 deg, intensity 11
hkl 4 0 0, 48.1 deg, intensity 18
hkl 3 3 1, 52.7 deg, intensity 5
hkl 4 2 0, 54.2 deg, intensity 4
hkl 4 2 2, 59.8 deg, intensity 39
hkl 5 1 1, 63.9 deg, intensity 4
hkl 4 4 0, 70.3 deg, intensity 12
hkl 6 2 0, 80.2 deg, intensity 17
hkl 4 4 4, 89.7 deg, intensity 4